Diffraction record for Nb3Ga2Cl9. The X-ray diffraction stick pattern is theoretical, not measured: it uses DFT lattice parameters and positions (GGA-PBE) and Cu Kα (weighted mean of Kα1 and Kα2).

Structural model:
Cell: 9.542 9.542 9.753 Å, 105.46 105.46 108.55°
Sites, in units of the cell vectors:
Nb1 0.030 0.219 0.646
Nb2 0.114 0.114 0.379
Nb3 0.219 0.030 0.646
Nb4 0.781 0.970 0.354
Nb5 0.886 0.886 0.621
Nb6 0.970 0.781 0.354
Ga1 0.219 0.527 0.156
Ga2 0.473 0.781 0.844
Ga3 0.527 0.219 0.156
Ga4 0.781 0.473 0.844
Cl1 0.071 0.501 0.837
Cl2 0.097 0.874 0.185
Cl3 0.126 0.903 0.815
Cl4 0.168 0.392 0.531
Cl5 0.224 0.776 0.500
Cl6 0.259 0.259 0.226
Cl7 0.297 0.297 0.845
Cl8 0.392 0.168 0.531
Cl9 0.499 0.929 0.163
Cl10 0.501 0.071 0.837
Cl11 0.608 0.832 0.469
Cl12 0.703 0.703 0.155
Cl13 0.741 0.741 0.774
Cl14 0.776 0.224 0.500
Cl15 0.832 0.608 0.469
Cl16 0.874 0.097 0.185
Cl17 0.903 0.126 0.815
Cl18 0.929 0.499 0.163

Main lines, sorted by position (10° ≤ 2θ ≤ 90°):
| Position (°2θ) | d [Å] | I_rel |
| --- | --- | --- |
| 10.19 | 8.677 | 30 |
| 10.59 | 8.350 | 100 |
| 11.42 | 7.746 | 20 |
| 11.54 | 7.668 | 72 |
| 15.33 | 5.779 | 24 |
| 16.04 | 5.526 | 24 |
| 30.94 | 2.890 | 20 |
| 33.76 | 2.655 | 50 |
| 39.13 | 2.302 | 26 |
| 40.91 | 2.206 | 22 |

=====

Diffraction record for KNa3As. The X-ray diffraction stick pattern is theoretical, not measured: it uses DFT lattice parameters and positions (GGA-PBE) and Cu Kα (weighted mean of Kα1 and Kα2).

Structural model:
Cell: 8.063 8.063 8.063 Å, 113.83 91.86 124.30°
Sites, in units of the cell vectors:
K1 0.417 0.167 0.250
K2 0.583 0.833 0.750
Na1 0.132 0.382 0.750
Na2 0.217 0.000 0.717
Na3 0.217 0.500 0.217
Na4 0.783 0.000 0.283
Na5 0.783 0.500 0.783
Na6 0.868 0.618 0.250
As1 0.000 0.500 0.500
As2 0.500 0.500 0.000

Main lines, sorted by position (10° ≤ 2θ ≤ 90°):
| Position (°2θ) | d [Å] | I_rel |
| --- | --- | --- |
| 15.48 | 5.723 | 100 |
| 15.80 | 5.608 | 27 |
| 20.18 | 4.401 | 44 |
| 22.19 | 4.006 | 100 |
| 26.95 | 3.309 | 35 |
| 31.26 | 2.862 | 38 |
| 31.92 | 2.804 | 48 |
| 35.21 | 2.549 | 92 |
| 36.57 | 2.457 | 27 |
| 41.02 | 2.201 | 27 |

=====

Diffraction record for LiTbInCu. The X-ray diffraction stick pattern is theoretical, not measured: it uses DFT lattice parameters and positions (GGA-PBE) and Cu Kα (weighted mean of Kα1 and Kα2).

Structural model:
Cell: 4.742 4.742 4.742 Å, 60.00 60.00 60.00°
Sites, in units of the cell vectors:
Li1 0.000 0.000 0.000
Tb1 0.750 0.750 0.750
In1 0.250 0.250 0.250
Cu1 0.500 0.500 0.500

Main lines, sorted by position (10° ≤ 2θ ≤ 90°):
| Position (°2θ) | d [Å] | I_rel |
| --- | --- | --- |
| 22.97 | 3.871 | 12 |
| 26.59 | 3.353 | 42 |
| 37.95 | 2.371 | 100 |
| 44.83 | 2.022 | 6 |
| 46.94 | 1.936 | 12 |
| 54.76 | 1.676 | 17 |
| 61.88 | 1.499 | 16 |
| 68.56 | 1.369 | 34 |
| 81.14 | 1.185 | 11 |
| 87.23 | 1.118 | 8 |

=====

Diffraction record for Li2TlPdCl6. The X-ray diffraction stick pattern is theoretical, not measured: it uses DFT lattice parameters and positions (GGA-PBE) and Cu Kα (weighted mean of Kα1 and Kα2).

Structural model:
Cell: 6.277 6.306 8.253 Å, 89.21 67.95 62.92°
Sites, in units of the cell vectors:
Li1 0.140 0.172 0.015
Li2 0.860 0.828 0.985
Tl1 0.500 0.000 0.500
Pd1 0.500 0.500 0.000
Cl1 0.046 0.883 0.193
Cl2 0.308 0.444 0.818
Cl3 0.374 0.247 0.179
Cl4 0.626 0.753 0.821
Cl5 0.692 0.556 0.182
Cl6 0.954 0.117 0.807

Main lines, sorted by position (10° ≤ 2θ ≤ 90°):
| Position (°2θ) | d [Å] | I_rel |
| --- | --- | --- |
| 17.44 | 5.086 | 100 |
| 18.06 | 4.912 | 96 |
| 18.21 | 4.871 | 93 |
| 21.74 | 4.087 | 60 |
| 22.87 | 3.888 | 53 |
| 23.05 | 3.858 | 48 |
| 30.36 | 2.944 | 48 |
| 35.32 | 2.541 | 68 |
| 37.65 | 2.389 | 42 |
| 38.03 | 2.366 | 40 |

=====

Diffraction record for La3Sm6Dy2Mg. The X-ray diffraction stick pattern is theoretical, not measured: it uses DFT lattice parameters and positions (GGA-PBE) and Cu Kα (weighted mean of Kα1 and Kα2).

Structural model:
Cell: 6.275 6.275 11.933 Å, 95.06 95.06 120.06°
Sites, in units of the cell vectors:
La1 0.000 0.000 0.000
La2 0.333 0.667 0.000
La3 0.667 0.333 0.000
Sm1 0.089 0.420 0.257
Sm2 0.249 0.249 0.744
Sm3 0.420 0.089 0.257
Sm4 0.580 0.911 0.743
Sm5 0.751 0.751 0.256
Sm6 0.911 0.580 0.743
Dy1 0.167 0.833 0.500
Dy2 0.833 0.167 0.500
Mg1 0.500 0.500 0.500

Main lines, sorted by position (10° ≤ 2θ ≤ 90°):
| Position (°2θ) | d [Å] | I_rel |
| --- | --- | --- |
| 30.25 | 2.955 | 100 |
| 30.44 | 2.937 | 32 |
| 35.12 | 2.555 | 67 |
| 50.39 | 1.811 | 24 |
| 50.64 | 1.802 | 23 |
| 59.88 | 1.545 | 10 |
| 59.99 | 1.542 | 23 |
| 60.07 | 1.540 | 9 |
| 60.25 | 1.536 | 13 |
| 62.91 | 1.477 | 12 |